K2TaCuI6: simulated XRD peak list (Cu Kα), based on a crystal structure in the Materials Project, relaxed with GGA-PBE.

Top 10 peaks for 2θ = 15–90°, in order of falling intensity:
two_theta, d (Å), Rel. int.
31.26, 2.862, 100
15.48, 5.723, 79
44.79, 2.023, 73
26.98, 3.304, 58
35.06, 2.559, 44
74.09, 1.280, 32
55.63, 1.652, 25
53.07, 1.726, 25
82.59, 1.168, 24
47.67, 1.908, 23

Structural model:
abc: 8.0936 8.0936 8.0936
angles: 60.00 60.00 60.00
Fractional coordinates of all 10 atoms:
1 K 0.2500 0.2500 0.2500
2 K 0.7500 0.7500 0.7500
3 Ta 0.0000 0.0000 0.0000
4 Cu 0.5000 0.5000 0.5000
5 I 0.2493 0.2493 0.7507
6 I 0.2493 0.7507 0.2493
7 I 0.2493 0.7507 0.7507
8 I 0.7507 0.2493 0.2493
9 I 0.7507 0.2493 0.7507
10 I 0.7507 0.7507 0.2493

***

La2Cu2I: simulated XRD peak list (Cu Kα), based on a crystal structure in the Materials Project, relaxed with GGA-PBE.

Top 10 peaks for 2θ = 15–90°, in order of falling intensity:
two_theta, d (Å), Rel. int.
31.72, 2.821, 100
42.34, 2.135, 43
53.86, 1.702, 22
24.07, 3.697, 21
70.80, 1.331, 19
60.70, 1.526, 17
39.42, 2.286, 17
26.18, 3.404, 16
41.39, 2.181, 9
58.49, 1.578, 8

Structural model:
abc: 4.2693 4.2693 8.7253
angles: 90.00 90.00 120.00
Fractional coordinates of all 5 atoms:
1 La 0.0000 0.0000 0.2120
2 La 0.0000 0.0000 0.7880
3 Cu 0.3333 0.6667 0.0000
4 Cu 0.6667 0.3333 0.0000
5 I 0.6667 0.3333 0.5000

***

La2Cu2I: simulated XRD peak list (Cu Kα), based on a crystal structure in the Materials Project, relaxed with GGA-PBE.

Top 10 peaks for 2θ = 15–90°, in order of falling intensity:
two_theta, d (Å), Rel. int.
31.66, 2.826, 100
42.45, 2.130, 45
53.91, 1.701, 22
60.53, 1.530, 20
70.92, 1.329, 19
24.66, 3.610, 16
24.13, 3.688, 14
39.26, 2.295, 12
28.59, 3.122, 11
41.05, 2.199, 11

Structural model:
abc: 4.2590 4.2590 17.5900
angles: 90.00 90.00 120.00
Fractional coordinates of all 10 atoms:
1 La 0.0000 0.0000 0.1070
2 La 0.0000 0.0000 0.3930
3 La 0.0000 0.0000 0.6070
4 La 0.0000 0.0000 0.8930
5 Cu 0.3333 0.6667 0.0008
6 Cu 0.3333 0.6667 0.4992
7 Cu 0.6667 0.3333 0.5008
8 Cu 0.6667 0.3333 0.9992
9 I 0.3333 0.6667 0.7500
10 I 0.6667 0.3333 0.2500

***

Na2Li2CuI2O2: simulated XRD peak list (Cu Kα), based on a crystal structure in the Materials Project, relaxed with GGA-PBE.

Top 10 peaks for 2θ = 15–90°, in order of falling intensity:
two_theta, d (Å), Rel. int.
24.78, 3.593, 100
29.48, 3.030, 80
30.91, 2.893, 70
23.68, 3.757, 67
22.08, 4.026, 63
39.30, 2.292, 51
44.28, 2.046, 41
35.47, 2.531, 33
50.82, 1.797, 32
49.76, 1.832, 29

Structural model:
abc: 11.6370 11.6370 11.6370
angles: 159.75 159.75 28.79
Fractional coordinates of all 9 atoms:
1 Na 0.0547 0.0547 0.0000
2 Na 0.9453 0.9453 0.0000
3 Li 0.2500 0.7500 0.5000
4 Li 0.7500 0.2500 0.5000
5 Cu 0.5000 0.5000 0.0000
6 I 0.3292 0.3292 0.0000
7 I 0.6708 0.6708 0.0000
8 O 0.0000 0.5000 0.5000
9 O 0.5000 0.0000 0.5000

***

MgCu2I4O12: simulated XRD peak list (Cu Kα), based on a crystal structure in the Materials Project, relaxed with GGA-PBE.

Top 10 peaks for 2θ = 15–90°, in order of falling intensity:
two_theta, d (Å), Rel. int.
23.20, 3.834, 100
23.32, 3.815, 59
20.80, 4.270, 38
29.67, 3.011, 32
15.01, 5.902, 30
35.76, 2.511, 28
43.69, 2.072, 24
34.91, 2.570, 19
47.78, 1.904, 18
47.71, 1.906, 18

Structural model:
abc: 5.9019 6.2127 8.5295
angles: 90.00 90.50 90.00
Fractional coordinates of all 19 atoms:
1 Mg 0.0000 0.0000 0.0000
2 Cu 0.8639 0.2797 0.7398
3 Cu 0.8639 0.7203 0.7398
4 I 0.3405 0.5000 0.5201
5 I 0.4984 0.0000 0.0600
6 I 0.8709 0.0000 0.4253
7 I 0.9269 0.5000 0.1006
8 O 0.1161 0.2648 0.1440
9 O 0.1161 0.7352 0.1440
10 O 0.1446 0.2791 0.5765
11 O 0.1446 0.7209 0.5765
12 O 0.2985 0.0000 0.8951
13 O 0.5572 0.5000 0.6763
14 O 0.6926 0.2204 0.3519
15 O 0.6926 0.7796 0.3519
16 O 0.7110 0.2024 0.9743
17 O 0.7110 0.7976 0.9743
18 O 0.7796 0.0000 0.6393
19 O 0.9914 0.5000 0.8818

***

MgCu2I4O12: simulated XRD peak list (Cu Kα), based on a crystal structure in the Materials Project, relaxed with GGA-PBE.

Top 10 peaks for 2θ = 15–90°, in order of falling intensity:
two_theta, d (Å), Rel. int.
24.68, 3.607, 100
24.04, 3.701, 62
36.11, 2.487, 40
29.83, 2.996, 32
25.90, 3.441, 27
31.14, 2.872, 25
34.51, 2.599, 23
45.86, 1.979, 19
49.28, 1.849, 18
33.28, 2.692, 17

Structural model:
abc: 5.3903 6.0889 8.6274
angles: 90.00 92.57 90.00
Fractional coordinates of all 19 atoms:
1 Mg 0.0000 0.0000 0.0000
2 Cu 0.5098 0.2537 0.8937
3 Cu 0.5098 0.7463 0.8937
4 I 0.0106 0.5000 0.1684
5 I 0.0763 0.0000 0.6218
6 I 0.4900 0.0000 0.2596
7 I 0.5660 0.5000 0.5552
8 O 0.2451 0.5000 0.0225
9 O 0.2807 0.2226 0.3145
10 O 0.2807 0.7774 0.3145
11 O 0.2848 0.2240 0.6972
12 O 0.2848 0.7760 0.6972
13 O 0.3774 0.0000 0.0359
14 O 0.6725 0.5000 0.7657
15 O 0.7601 0.2716 0.4845
16 O 0.7601 0.7284 0.4845
17 O 0.8112 0.2636 0.0825
18 O 0.8112 0.7365 0.0825
19 O 0.8675 0.0000 0.7863

***

> Number 2 is which compound?

La2Cu2I

***

Please write out number 4 again, unchanged.
Na2Li2CuI2O2: simulated XRD peak list (Cu Kα), based on a crystal structure in the Materials Project, relaxed with GGA-PBE.

Top 10 peaks for 2θ = 15–90°, in order of falling intensity:
two_theta, d (Å), Rel. int.
24.78, 3.593, 100
29.48, 3.030, 80
30.91, 2.893, 70
23.68, 3.757, 67
22.08, 4.026, 63
39.30, 2.292, 51
44.28, 2.046, 41
35.47, 2.531, 33
50.82, 1.797, 32
49.76, 1.832, 29

Structural model:
abc: 11.6370 11.6370 11.6370
angles: 159.75 159.75 28.79
Fractional coordinates of all 9 atoms:
1 Na 0.0547 0.0547 0.0000
2 Na 0.9453 0.9453 0.0000
3 Li 0.2500 0.7500 0.5000
4 Li 0.7500 0.2500 0.5000
5 Cu 0.5000 0.5000 0.0000
6 I 0.3292 0.3292 0.0000
7 I 0.6708 0.6708 0.0000
8 O 0.0000 0.5000 0.5000
9 O 0.5000 0.0000 0.5000